Entry 1:
Diffraction record for Ho3Sc2Se6. The powder XRD pattern is computed, not measured: it uses a GGA-PBE-relaxed structure and Cu Ka.
Intensities are scaled so that the largest is 100.

Atomic structure:
a b c (Å): 3.9686 3.9686 59.9431
angles (deg): 90.00 90.00 120.00
Space group R-3m (No. 166, hexagonal axes)
One atom of each set of equivalent atoms:
Ho1 0.0000 0.0000 0.0000 (multiplicity 3)
Ho2 0.0000 0.0000 0.2771 (multiplicity 6)
Sc1 0.0000 0.0000 0.4480 (multiplicity 6)
Se1 0.0000 0.0000 0.0855 (multiplicity 6)
Se2 0.0000 0.0000 0.1969 (multiplicity 6)
Se3 0.0000 0.0000 0.3617 (multiplicity 6)

Peak list (6 most intense, 2θ = 5–70°, most intense first)
index, 2θ (°), Rel. int.
0 1 11, 30.76, 100
1 1 0, 45.72, 42
0 1 14, 33.43, 32
1 0 25, 46.16, 28
1 0 22, 42.33, 21
2 0 11, 56.12, 18

***

Entry 2:
Diffraction record for Ho3Ge2Ir2. The powder XRD pattern is computed, not measured: it uses a GGA-PBE-relaxed structure and Cu Ka.
Intensities are scaled so that the largest is 100.

Atomic structure:
a b c (Å): 5.599 7.782 13.298
angles (deg): 90.00 90.00 90.00
Space group Pbcm (No. 57)
One atom of each set of equivalent atoms:
Ho1 0.124 0.241 0.250 (multiplicity 4)
Ho2 0.355 0.606 0.100 (multiplicity 8)
Ge1 0.155 0.250 0.000 (multiplicity 4)
Ge2 0.378 0.608 0.750 (multiplicity 4)
Ir1 0.133 0.544 0.593 (multiplicity 8)

Peak list (6 most intense, 2θ = 5–70°, most intense first)
index, 2θ (°), Rel. int.
2 1 3, 39.81, 100
1 3 0, 38.24, 59
1 2 3, 34.61, 51
0 2 4, 35.52, 43
1 1 4, 33.39, 41
0 0 6, 40.71, 35